No. 1
Structure and simulated X-ray powder pattern of CsInCu6O8 (a structure optimized by DFT (PBE); Cu Kα X-rays).

Largest 6 diffraction maxima, sorted by position, 2θ = 15–90°:
| d (Å) | intensity | (hkl) |
| --- | --- | --- |
| 3.320 | 8 | 2 2 0 |
| 2.711 | 100 | 2 2 2 |
| 2.348 | 34 | 4 0 0 |
| 1.660 | 42 | 4 4 0 |
| 1.416 | 37 | 6 2 2 |
| 1.355 | 8 | 4 4 4 |

Atomic structure:
```
data_CsInCu6O8
_chemical_formula_sum 'Cs4 In4 Cu24 O32'
_cell_length_a 9.391
_cell_length_b 9.391
_cell_length_c 9.391
_cell_angle_alpha 90.00
_cell_angle_beta 90.00
_cell_angle_gamma 90.00
_space_group_name_H-M_alt 'F m -3 m'
_space_group_IT_number 225
_space_group_name_Hall '-F 4 2 3'
loop_
_atom_site_label
_atom_site_type_symbol
_atom_site_fract_x
_atom_site_fract_y
_atom_site_fract_z
Cs1 Cs 0.000 0.000 0.000
In1 In 0.000 0.000 0.500
Cu1 Cu 0.000 0.250 0.250
O1 O 0.143 0.143 0.357
```

No. 2
Structure and simulated X-ray powder pattern of Sr2SO (a structure optimized by DFT (PBE); Cu Kα X-rays).

Largest 6 diffraction maxima, sorted by position, 2θ = 15–90°:
| d (Å) | intensity | (hkl) |
| --- | --- | --- |
| 3.301 | 58 | 1 0 1 |
| 2.859 | 100 | 1 1 0 |
| 2.022 | 70 | 2 0 0 |
| 1.724 | 29 | 2 1 1 |
| 1.651 | 24 | 2 0 2 |
| 1.279 | 30 | 3 1 0 |

Atomic structure:
```
data_Sr2SO
_chemical_formula_sum 'Sr2 S1 O1'
_cell_length_a 4.043
_cell_length_b 4.043
_cell_length_c 5.718
_cell_angle_alpha 90.00
_cell_angle_beta 90.00
_cell_angle_gamma 90.00
_space_group_name_H-M_alt 'P 4/m m m'
_space_group_IT_number 123
_space_group_name_Hall '-P 4 2'
loop_
_atom_site_label
_atom_site_type_symbol
_atom_site_fract_x
_atom_site_fract_y
_atom_site_fract_z
Sr1 Sr 0.000 0.000 0.000
Sr2 Sr 0.500 0.500 0.500
S1 S 0.000 0.000 0.500
O1 O 0.500 0.500 0.000
```

No. 3
Structure and simulated X-ray powder pattern of CrNiN2 (a structure optimized by DFT (PBE); Cu Kα X-rays).

Largest 6 diffraction maxima, sorted by position, 2θ = 15–90°:
| d (Å) | intensity | (hkl) |
| --- | --- | --- |
| 2.512 | 37 | 0 0 4 |
| 2.159 | 100 | 1 1 2 |
| 2.152 | 39 | 0 2 2 |
| 1.946 | 25 | 1 1 3 |
| 1.377 | 21 | 1 3 0 |
| 1.371 | 27 | 1 1 6 |

Atomic structure:
```
data_CrNiN2
_chemical_formula_sum 'Cr4 Ni4 N8'
_cell_length_a 2.764
_cell_length_b 4.764
_cell_length_c 10.049
_cell_angle_alpha 90.00
_cell_angle_beta 90.00
_cell_angle_gamma 90.00
_space_group_name_H-M_alt 'C m c m'
_space_group_IT_number 63
_space_group_name_Hall '-C 2c 2'
loop_
_atom_site_label
_atom_site_type_symbol
_atom_site_fract_x
_atom_site_fract_y
_atom_site_fract_z
Cr1 Cr 0.000 0.155 0.250
Ni1 Ni 0.000 0.500 0.000
N1 N 0.000 0.179 0.631
```